(1)
MgRh5: calculated powder X-ray diffraction pattern (CuKα), based on DFT lattice parameters and positions (PBE).

Structure:
```
6
Lattice="4.9586 -1.3869 0.0000 4.9586 1.3869 0.0000 -1.6426 0.0000 6.3824" Properties=species:S:1:pos:R:3 pbc="T T T"
Mg 0.0000 0.0000 0.0000
Rh 2.6370 0.0000 0.3273
Rh 2.2577 0.0000 4.2579
Rh 4.9501 0.0000 4.5859
Rh 6.1105 0.0000 2.1323
Rh 8.7435 0.0000 2.4934
```

Largest 10 diffraction maxima, low angle first, 2θ = 10–90°:
| d/Å | I (rel.) |
| --- | --- |
| 6.382 | 25 |
| 2.400 | 79 |
| 2.200 | 74 |
| 2.127 | 52 |
| 2.119 | 100 |
| 2.096 | 99 |
| 2.083 | 50 |
| 1.385 | 33 |
| 1.184 | 19 |
| 1.173 | 19 |

***

(2)
CeNdAl2O6: calculated powder X-ray diffraction pattern (CuKα), based on DFT lattice parameters and positions (PBE).

Structure:
```
10
Lattice="3.7858 -3.7862 0.0000 3.7858 3.7862 0.0000 -3.7549 0.0000 3.8120" Properties=species:S:1:pos:R:3 pbc="T T T"
Ce 0.0000 0.0000 0.0000
Nd 0.0178 0.0000 3.7995
Al 1.9058 1.8949 1.9020
Al 1.9058 -1.8949 1.9020
O -1.8585 1.7649 3.8085
O 0.0140 1.6095 1.9133
O 0.0140 -1.6095 1.9133
O -1.8585 -1.7649 3.8085
O 2.1840 0.0000 2.0134
O 5.4087 0.0000 1.7712
```

Largest 10 diffraction maxima, low angle first, 2θ = 10–90°:
| d/Å | I (rel.) |
| --- | --- |
| 3.812 | 33 |
| 3.786 | 67 |
| 2.697 | 32 |
| 2.686 | 65 |
| 2.676 | 100 |
| 2.197 | 39 |
| 2.185 | 40 |
| 1.893 | 43 |
| 1.550 | 27 |
| 1.544 | 27 |

***

(3)
IrO3: calculated powder X-ray diffraction pattern (CuKα), based on DFT lattice parameters and positions (PBE).

Structure:
```
4
Lattice="3.7909 0.0000 0.0000 0.0000 3.7909 0.0000 0.0000 0.0000 3.7909" Properties=species:S:1:pos:R:3 pbc="T T T"
Ir 0.0000 0.0000 0.0000
O 0.0000 0.0000 1.8955
O 0.0000 1.8955 0.0000
O 1.8955 0.0000 0.0000
```

Largest 10 diffraction maxima, low angle first, 2θ = 10–90°:
| d/Å | I (rel.) |
| --- | --- |
| 3.791 | 100 |
| 2.681 | 56 |
| 2.189 | 14 |
| 1.895 | 19 |
| 1.695 | 41 |
| 1.548 | 23 |
| 1.340 | 12 |
| 1.264 | 19 |
| 1.199 | 10 |
| 1.143 | 7 |

***

(4)
TaFe4W: calculated powder X-ray diffraction pattern (CuKα), based on DFT lattice parameters and positions (PBE).

Structure:
```
12
Lattice="4.7500 0.0000 0.0000 -2.3750 4.1136 0.0000 0.0000 0.0000 7.8303" Properties=species:S:1:pos:R:3 pbc="T T T"
Ta 0.0000 2.7424 3.3520
Ta 2.3750 1.3712 4.4783
Fe 0.0000 0.0000 0.0000
Fe 0.0000 0.0000 3.9151
Fe 0.0000 1.3985 5.8881
Fe -1.1638 3.4144 5.8881
Fe 1.2112 0.6993 1.9421
Fe 1.1639 3.4144 5.8881
Fe 3.5389 0.6993 1.9421
Fe 2.3750 2.7151 1.9421
W 0.0000 2.7424 0.4654
W 2.3750 1.3712 7.3649
```

Largest 10 diffraction maxima, low angle first, 2θ = 10–90°:
| d/Å | I (rel.) |
| --- | --- |
| 4.114 | 18 |
| 3.642 | 16 |
| 2.375 | 67 |
| 2.204 | 100 |
| 2.031 | 84 |
| 1.989 | 46 |
| 1.336 | 38 |
| 1.294 | 19 |
| 1.246 | 23 |
| 1.188 | 19 |